Calculated X-ray diffraction stick pattern of Cd3GePd3 for copper Kα, from a structure optimized by DFT (GGA-PBE).
Intensities are scaled so that the largest is 100.

```
data_Cd3GePd3
_cell_length_a 8.6140
_cell_length_b 9.2734
_cell_length_c 6.4444
_cell_angle_alpha 90.00
_cell_angle_beta 90.00
_cell_angle_gamma 90.00
_symmetry_space_group_name_H-M 'C m m m'
_symmetry_Int_Tables_number 65
_symmetry_space_group_name_Hall '-C 2 2'
loop_
_atom_site_label
_atom_site_type_symbol
_atom_site_fract_x
_atom_site_fract_y
_atom_site_fract_z
Cd1 Cd 0.0000 0.2469 0.0000
Cd2 Cd 0.1898 0.0000 0.5000
Cd3 Cd 0.2351 0.0000 0.0000
Ge1 Ge 0.0000 0.2716 0.5000
Pd1 Pd 0.0000 0.5000 0.2736
Pd2 Pd 0.2500 0.2500 0.2712
```

Most intense lines, 2θ from 15° to 90°, in order of rising 2θ:
- hkl 3 1 0, 2θ 32.6, intensity 12
- hkl 0 4 0, 2θ 38.8, intensity 30
- hkl 2 2 2, 2θ 40.0, intensity 100
- hkl 4 0 0, 2θ 42.0, intensity 18
- hkl 4 4 0, 2θ 58.5, intensity 13
- hkl 2 6 2, 2θ 71.1, intensity 16

Calculated X-ray diffraction stick pattern of Y5Ho2Th3 for copper Kα, from a structure optimized by DFT (GGA-PBE).
Intensities are scaled so that the largest is 100.

```
data_Y5Ho2Th3
_cell_length_a 11.2568
_cell_length_b 5.0422
_cell_length_c 11.3105
_cell_angle_alpha 90.00
_cell_angle_beta 90.46
_cell_angle_gamma 90.00
_symmetry_space_group_name_H-M 'C 1 2/m 1'
_symmetry_Int_Tables_number 12
loop_
_symmetry_equiv_pos_as_xyz
'x,y,z'
'-x,-y,-z'
'-x,y,-z'
'x,-y,z'
'x+1/2,y+1/2,z'
'-x+1/2,-y+1/2,-z'
'-x+1/2,y+1/2,-z'
'x+1/2,-y+1/2,z'
loop_
_atom_site_label
_atom_site_type_symbol
_atom_site_fract_x
_atom_site_fract_y
_atom_site_fract_z
Y1 Y 0.0000 0.0000 0.0000
Y2 Y 0.1991 0.5000 0.1018
Y3 Y 0.1996 0.0000 0.5995
Ho1 Ho 0.0980 0.5000 0.7971
Th1 Th 0.0000 0.5000 0.5000
Th2 Th 0.0975 0.0000 0.2996
```

Most intense lines, 2θ from 15° to 90°, in order of rising 2θ:
- hkl 3 1 -1, 2θ 30.7, intensity 100
- hkl 1 1 3, 2θ 30.7, intensity 99
- hkl 2 0 -4, 2θ 35.4, intensity 33
- hkl 0 2 0, 2θ 35.6, intensity 34
- hkl 4 0 2, 2θ 35.8, intensity 32
- hkl 2 2 -4, 2θ 51.1, intensity 36

Calculated X-ray diffraction stick pattern of Hf6Pb2Se for copper Kα, from a structure optimized by DFT (GGA-PBE).
Intensities are scaled so that the largest is 100.

```
data_Hf6Pb2Se
_cell_length_a 5.8492
_cell_length_b 7.5709
_cell_length_c 10.7845
_cell_angle_alpha 90.00
_cell_angle_beta 120.92
_cell_angle_gamma 90.00
_symmetry_space_group_name_H-M 'P 1 21/c 1'
_symmetry_Int_Tables_number 14
loop_
_symmetry_equiv_pos_as_xyz
'x,y,z'
'-x,-y,-z'
'-x,y+1/2,-z+1/2'
'x,-y+1/2,z+1/2'
loop_
_atom_site_label
_atom_site_type_symbol
_atom_site_fract_x
_atom_site_fract_y
_atom_site_fract_z
Hf1 Hf 0.0733 0.2006 0.4512
Hf2 Hf 0.3109 0.0188 0.2050
Hf3 Hf 0.3188 0.6711 0.4532
Pb1 Pb 0.1643 0.1110 0.7427
Se1 Se 0.5000 0.0000 0.5000
```

Most intense lines, 2θ from 15° to 90°, in order of rising 2θ:
- hkl 0 2 2, 2θ 30.5, intensity 53
- hkl 2 1 -1, 2θ 34.0, intensity 67
- hkl 1 1 2, 2θ 34.5, intensity 71
- hkl 0 2 3, 2θ 37.6, intensity 32
- hkl 2 1 0, 2θ 37.8, intensity 29
- hkl 1 3 -1, 2θ 38.9, intensity 100

Calculated X-ray diffraction stick pattern of Nd2Hg5 for copper Kα, from a structure optimized by DFT (GGA-PBE).
Intensities are scaled so that the largest is 100.

```
data_Nd2Hg5
_cell_length_a 7.4967
_cell_length_b 14.2595
_cell_length_c 6.8654
_cell_angle_alpha 90.00
_cell_angle_beta 90.00
_cell_angle_gamma 90.00
_symmetry_space_group_name_H-M 'I b a m'
_symmetry_Int_Tables_number 72
_symmetry_space_group_name_Hall '-I 2 2c'
loop_
_atom_site_label
_atom_site_type_symbol
_atom_site_fract_x
_atom_site_fract_y
_atom_site_fract_z
Nd1 Nd 0.1992 0.1108 0.0000
Hg1 Hg 0.0000 0.2709 0.2500
Hg2 Hg 0.0000 0.5000 0.2500
Hg3 Hg 0.2186 0.1131 0.5000
```

Most intense lines, 2θ from 15° to 90°, in order of rising 2θ:
- hkl 1 1 2, 2θ 29.3, intensity 33
- hkl 2 4 0, 2θ 34.7, intensity 91
- hkl 2 0 2, 2θ 35.5, intensity 100
- hkl 0 4 2, 2θ 36.3, intensity 93
- hkl 3 5 2, 2θ 55.8, intensity 29
- hkl 2 4 4, 2θ 65.3, intensity 32

Calculated X-ray diffraction stick pattern of NdFe10Re2 for copper Kα, from a structure optimized by DFT (GGA-PBE).
Intensities are scaled so that the largest is 100.

```
data_NdFe10Re2
_cell_length_a 4.6892
_cell_length_b 8.5390
_cell_length_c 8.7251
_cell_angle_alpha 90.00
_cell_angle_beta 90.00
_cell_angle_gamma 90.00
_symmetry_space_group_name_H-M 'I m m m'
_symmetry_Int_Tables_number 71
_symmetry_space_group_name_Hall '-I 2 2'
loop_
_atom_site_label
_atom_site_type_symbol
_atom_site_fract_x
_atom_site_fract_y
_atom_site_fract_z
Nd1 Nd 0.0000 0.0000 0.0000
Fe1 Fe 0.0000 0.2764 0.5000
Fe2 Fe 0.0000 0.3597 0.0000
Fe3 Fe 0.0000 0.5000 0.2654
Fe4 Fe 0.2500 0.2500 0.2500
Re1 Re 0.0000 0.0000 0.3593
```

Most intense lines, 2θ from 15° to 90°, in order of rising 2θ:
- hkl 1 1 0, 2θ 21.6, intensity 46
- hkl 0 1 3, 2θ 32.5, intensity 28
- hkl 1 0 3, 2θ 36.3, intensity 36
- hkl 1 3 0, 2θ 36.9, intensity 42
- hkl 0 4 0, 2θ 42.3, intensity 100
- hkl 2 2 0, 2θ 44.1, intensity 45

Calculated X-ray diffraction stick pattern of SmPa2O6 for copper Kα, from a structure optimized by DFT (GGA-PBE).
Intensities are scaled so that the largest is 100.

```
data_SmPa2O6
_cell_length_a 3.8928
_cell_length_b 3.8928
_cell_length_c 9.3997
_cell_angle_alpha 90.00
_cell_angle_beta 90.00
_cell_angle_gamma 120.00
_symmetry_space_group_name_H-M 'P -3 m 1'
_symmetry_Int_Tables_number 164
_symmetry_space_group_name_Hall '-P 3 2"'
loop_
_atom_site_label
_atom_site_type_symbol
_atom_site_fract_x
_atom_site_fract_y
_atom_site_fract_z
Sm1 Sm 0.0000 0.0000 0.0000
Pa1 Pa 0.3333 0.6667 0.6692
O1 O 0.0000 0.0000 0.2640
O2 O 0.3333 0.6667 0.4178
O3 O 0.3333 0.6667 0.9018
```

Most intense lines, 2θ from 15° to 90°, in order of rising 2θ:
- hkl 1 0 1, 2θ 28.1, intensity 100
- hkl 0 0 3, 2θ 28.5, intensity 31
- hkl 0 1 2, 2θ 32.7, intensity 47
- hkl 1 1 0, 2θ 46.7, intensity 33
- hkl 1 0 4, 2θ 47.1, intensity 32
- hkl 1 1 3, 2θ 55.6, intensity 30

What did the fourth record say?
Calculated X-ray diffraction stick pattern of Nd2Hg5 for copper Kα, from a structure optimized by DFT (GGA-PBE).
Intensities are scaled so that the largest is 100.

```
data_Nd2Hg5
_cell_length_a 7.4967
_cell_length_b 14.2595
_cell_length_c 6.8654
_cell_angle_alpha 90.00
_cell_angle_beta 90.00
_cell_angle_gamma 90.00
_symmetry_space_group_name_H-M 'I b a m'
_symmetry_Int_Tables_number 72
_symmetry_space_group_name_Hall '-I 2 2c'
loop_
_atom_site_label
_atom_site_type_symbol
_atom_site_fract_x
_atom_site_fract_y
_atom_site_fract_z
Nd1 Nd 0.1992 0.1108 0.0000
Hg1 Hg 0.0000 0.2709 0.2500
Hg2 Hg 0.0000 0.5000 0.2500
Hg3 Hg 0.2186 0.1131 0.5000
```

Most intense lines, 2θ from 15° to 90°, in order of rising 2θ:
- hkl 1 1 2, 2θ 29.3, intensity 33
- hkl 2 4 0, 2θ 34.7, intensity 91
- hkl 2 0 2, 2θ 35.5, intensity 100
- hkl 0 4 2, 2θ 36.3, intensity 93
- hkl 3 5 2, 2θ 55.8, intensity 29
- hkl 2 4 4, 2θ 65.3, intensity 32